# Ca3Ga2Ag9Sn
Theoretical X-ray diffraction stick pattern, Cu Kα (weighted mean of Kα1 and Kα2). Input: DFT lattice parameters and positions (PBE).
Peak positions follow from Bragg's law for the DFT cell and can differ from measured ones.

Main lines, in order of falling intensity (2θ = 10–80°):
index, 2theta, intensity
2 0 2, 37.35, 100
0 2 1, 28.85, 79
1 0 1, 18.43, 69
2 2 0, 44.89, 58
2 1 1, 36.58, 26
0 4 2, 59.77, 23
4 2 2, 77.77, 21
0 2 4, 61.89, 20
2 2 3, 62.24, 15
4 0 1, 54.24, 12
1 1 3, 46.82, 11
1 3 1, 48.91, 10

abc: 8.0771 8.0771 6.6382
angles: 90.00 90.00 120.00
Space group P-3m1 (No. 164)
One atom of each set of equivalent atoms:
Ca1 0.0000 0.0000 0.0000 x1
Ca2 0.3333 0.6667 0.6624 x2
Ga1 0.3333 0.6667 0.1462 x2
Ag1 0.0000 0.5000 0.0000 x3
Ag2 0.1733 0.3466 0.3205 x6
Sn1 0.0000 0.0000 0.5000 x1


# Ho12Ni6Rh
Theoretical X-ray diffraction stick pattern, Cu Kα (weighted mean of Kα1 and Kα2). Input: DFT lattice parameters and positions (PBE).
Peak positions follow from Bragg's law for the DFT cell and can differ from measured ones.

Main lines, in order of falling intensity (2θ = 10–80°):
index, 2theta, intensity
1 2 2, 27.40, 100
4 1 0, 39.39, 69
3 -1 4, 38.87, 56
4 -1 2, 34.62, 48
1 0 4, 32.50, 35
2 2 0, 29.52, 22
2 2 6, 57.16, 22
3 4 2, 55.71, 20
3 -1 1, 23.77, 20
0 5 4, 54.28, 18
5 1 4, 58.74, 15
2 4 4, 56.54, 14

abc: 12.1041 12.1041 11.4228
angles: 90.00 90.00 120.00
Space group R-3 (No. 148, hexagonal axes)
One atom of each set of equivalent atoms:
Ho1 0.0222 0.8151 0.3885 x18
Ho2 0.0302 0.8273 0.8779 x18
Ni1 0.0381 0.7773 0.6453 x18
Rh1 0.0000 0.0000 0.0000 x3


# AcSc2TeO8
Theoretical X-ray diffraction stick pattern, Cu Kα (weighted mean of Kα1 and Kα2). Input: DFT lattice parameters and positions (PBE).
Peak positions follow from Bragg's law for the DFT cell and can differ from measured ones.

Main lines, in order of falling intensity (2θ = 10–80°):
index, 2theta, intensity
0 2 0, 26.15, 100
1 1 2, 31.35, 88
1 3 2, 49.51, 69
1 1 0, 18.41, 66
2 0 2, 36.62, 32
2 2 0, 37.32, 22
3 3 2, 63.61, 20
1 3 0, 41.90, 19
0 0 2, 25.16, 19
2 0 4, 58.79, 18
2 2 2, 45.54, 15
4 2 0, 60.78, 14

abc: 6.808 6.823 7.080
angles: 90.00 90.00 90.00
Space group Cmmm (No. 65)
One atom of each set of equivalent atoms:
Ac1 0.000 0.000 0.000 x2
Sc1 0.000 0.500 0.275 x4
Te1 0.000 0.000 0.500 x2
O1 0.000 0.289 0.500 x4
O2 0.000 0.344 0.000 x4
O3 0.194 0.000 0.299 x8